No. 1
Diffraction record for La3MgAg4. The XRD peak list is simulated, not measured: it uses a structure optimized by DFT (GGA-PBE) and Cu Kα X-rays.
Kinematic intensities with the Lorentz-polarization factor, no thermal factor.

Principal peaks in the range 2θ from 10° to 90°, sorted by position:
2θ (°)  d_spacing  intensity
30.03  2.976  19
33.91  2.644  100
34.55  2.596  56
49.67  1.836  20
55.05  1.668  12
60.26  1.536  11
61.50  1.508  34
72.99  1.296  9
82.85  1.165  7
83.22  1.161  9

Cell and atoms:
a = 3.6712 Å, b = 3.6712 Å, c = 15.2403 Å
α = 90.00°, β = 90.00°, γ = 90.00°
Atoms (fractional coordinates):
La1 0.0000 0.0000 0.0000
La2 0.0000 0.0000 0.2652
La3 0.0000 0.0000 0.7348
Mg1 0.0000 0.0000 0.5000
Ag1 0.5000 0.5000 0.1320
Ag2 0.5000 0.5000 0.4018
Ag3 0.5000 0.5000 0.5982
Ag4 0.5000 0.5000 0.8680


No. 2
Diffraction record for Pr2Y6Zn. The XRD peak list is simulated, not measured: it uses a structure optimized by DFT (GGA-PBE) and Cu Kα X-rays.
Kinematic intensities with the Lorentz-polarization factor, no thermal factor.

Principal peaks in the range 2θ from 10° to 90°, sorted by position:
2θ (°)  d_spacing  intensity
30.66  2.916  13
31.80  2.814  100
32.02  2.795  64
32.69  2.739  40
45.34  2.000  9
46.20  1.965  19
56.84  1.620  11
57.02  1.615  11
57.80  1.595  13
57.92  1.592  11

Cell and atoms:
a = 9.8284 Å, b = 10.3321 Å, c = 5.4786 Å
α = 90.00°, β = 90.00°, γ = 90.00°
Atoms (fractional coordinates):
Pr1 0.1878 0.2499 0.0000
Pr2 0.3122 0.7499 0.5000
Pr3 0.6878 0.2501 0.5000
Pr4 0.8122 0.7501 0.0000
Y1 0.0144 0.1874 0.5000
Y2 0.1353 0.6021 0.0000
Y3 0.1905 0.9266 0.0000
Y4 0.3095 0.4266 0.5000
Y5 0.3647 0.1021 0.5000
Y6 0.4856 0.6874 0.0000
Y7 0.5144 0.3126 0.0000
Y8 0.6353 0.8979 0.5000
Y9 0.6905 0.5734 0.5000
Y10 0.8095 0.0734 0.0000
Y11 0.8647 0.3979 0.0000
Y12 0.9856 0.8126 0.5000
Zn1 0.0000 0.5000 0.5000
Zn2 0.5000 0.0000 0.0000


No. 3
Diffraction record for Pr2Zn3Cu. The XRD peak list is simulated, not measured: it uses a structure optimized by DFT (GGA-PBE) and Cu Kα X-rays.
Kinematic intensities with the Lorentz-polarization factor, no thermal factor.

Principal peaks in the range 2θ from 10° to 90°, sorted by position:
2θ (°)  d_spacing  intensity
22.47  3.958  15
33.67  2.662  100
39.44  2.285  58
50.76  1.799  9
52.80  1.734  27
66.08  1.414  8
66.14  1.413  16
67.82  1.382  17
67.93  1.380  8
84.41  1.148  7

Cell and atoms:
a = 9.1333 Å, b = 8.6844 Å, c = 5.8205 Å
α = 75.17°, β = 66.80°, γ = 38.03°
Atoms (fractional coordinates):
Pr1 0.2442 0.7558 0.7558
Pr2 0.2500 0.2500 0.2500
Pr3 0.7500 0.7500 0.7500
Pr4 0.7558 0.2442 0.2442
Zn1 0.1643 0.6672 0.3328
Zn2 0.3322 0.3322 0.6678
Zn3 0.3328 0.8357 0.1643
Zn4 0.6672 0.1643 0.8357
Zn5 0.6678 0.6678 0.3322
Zn6 0.8357 0.3328 0.6672
Cu1 0.1669 0.1669 0.8331
Cu2 0.8331 0.8331 0.1669


No. 4
Diffraction record for NaLa4I7N2. The XRD peak list is simulated, not measured: it uses a structure optimized by DFT (GGA-PBE) and Cu Kα X-rays.
Kinematic intensities with the Lorentz-polarization factor, no thermal factor.

Principal peaks in the range 2θ from 10° to 90°, sorted by position:
2θ (°)  d_spacing  intensity
19.74  4.498  16
26.36  3.381  15
27.43  3.251  11
27.73  3.217  19
28.18  3.166  100
29.48  3.030  35
29.76  3.002  12
30.31  2.949  11
31.13  2.873  11
31.40  2.849  14

Cell and atoms:
a = 14.6805 Å, b = 11.3995 Å, c = 12.1274 Å
α = 90.00°, β = 90.00°, γ = 90.00°
Atoms (fractional coordinates):
Na1 0.0975 0.0478 0.0000
Na2 0.4025 0.5478 0.5000
Na3 0.5975 0.4522 0.0000
Na4 0.9025 0.9522 0.5000
La1 0.0810 0.3795 0.3025
La2 0.0808 0.3849 0.7686
La3 0.0854 0.6260 0.5356
La4 0.1077 0.5709 0.0349
La5 0.3923 0.0709 0.5349
La6 0.4146 0.1260 0.0356
La7 0.4190 0.8795 0.8025
La8 0.4192 0.8849 0.2686
La9 0.5808 0.1151 0.7686
La10 0.5810 0.1205 0.3025
La11 0.5854 0.8740 0.5356
La12 0.6077 0.9291 0.0349
La13 0.8923 0.4291 0.5349
La14 0.9146 0.3740 0.0356
La15 0.9192 0.6151 0.2686
La16 0.9190 0.6205 0.8025
I1 0.0160 0.1990 0.5242
I2 0.0208 0.8468 0.6920
I3 0.0440 0.8330 0.3486
I4 0.2012 0.3048 0.0160
I5 0.2230 0.6138 0.8008
I6 0.2265 0.3996 0.5395
I7 0.2413 0.5767 0.2567
I8 0.2587 0.0767 0.7567
I9 0.2735 0.8996 0.0395
I10 0.2770 0.1138 0.3008
I11 0.2988 0.8048 0.5160
I12 0.4560 0.3330 0.8486
I13 0.4792 0.3468 0.1920
I14 0.4840 0.6990 0.0242
I15 0.5160 0.3010 0.5242
I16 0.5208 0.6532 0.6920
I17 0.5440 0.6670 0.3486
I18 0.7012 0.1952 0.0160
I19 0.7230 0.8862 0.8008
I20 0.7265 0.1004 0.5395
I21 0.7413 0.9233 0.2567
I22 0.7587 0.4233 0.7567
I23 0.7735 0.6004 0.0395
I24 0.7770 0.3862 0.3008
I25 0.7988 0.6952 0.5160
I26 0.9560 0.1670 0.8486
I27 0.9792 0.1532 0.1920
I28 0.9840 0.8010 0.0242
N1 0.0033 0.4865 0.9092
N2 0.0054 0.4844 0.1611
N3 0.4946 0.9844 0.6611
N4 0.4967 0.9865 0.4092
N5 0.5033 0.0135 0.9092
N6 0.5054 0.0156 0.1611
N7 0.9946 0.5156 0.6611
N8 0.9967 0.5135 0.4092


No. 5
Diffraction record for Na3MgCd. The XRD peak list is simulated, not measured: it uses a structure optimized by DFT (GGA-PBE) and Cu Kα X-rays.
Kinematic intensities with the Lorentz-polarization factor, no thermal factor.

Principal peaks in the range 2θ from 10° to 90°, sorted by position:
2θ (°)  d_spacing  intensity
16.02  5.532  84
19.90  4.461  43
21.36  4.160  87
30.05  2.974  68
30.31  2.949  41
32.37  2.766  66
32.92  2.720  78
35.95  2.498  100
36.88  2.437  47
41.43  2.180  41

Cell and atoms:
a = 3.1242 Å, b = 5.8189 Å, c = 17.8446 Å
α = 90.00°, β = 90.00°, γ = 90.00°
Atoms (fractional coordinates):
Na1 0.0000 0.0000 0.0000
Na2 0.0000 0.5000 0.5000
Na3 0.5000 0.2474 0.8298
Na4 0.5000 0.2526 0.3298
Na5 0.5000 0.7474 0.3298
Na6 0.5000 0.7526 0.8298
Mg1 0.5000 0.0000 0.1652
Mg2 0.5000 0.5000 0.6652
Cd1 0.0000 0.0000 0.6660
Cd2 0.0000 0.5000 0.1660